No. 1
This entry pairs a crystal structure of NdCrP2Rh5 with its computed PXRD pattern. Radiation: Cu Kα. Structure: the GGA-PBE geometry in Alexandria.

Most intense lines, 15 to 90 degrees two-theta, by angle:
h k l  d [Å]  Position (°2θ)  I (rel.)
0 0 3  3.221  27.70  690
1 1 1  2.767  32.36  1000
1 1 2  2.479  36.24  649
2 0 0  2.042  44.36  668
1 1 4  1.853  49.18  671
2 0 3  1.725  53.11  449

Structure:
Lattice parameters (Å, degrees): 4.084 4.084 9.662 90.00 90.00 90.00
Sites, in units of the cell vectors:
1 Nd 0.000 0.000 0.000
2 Cr 0.500 0.500 0.500
3 P 0.500 0.500 0.232
4 P 0.500 0.500 0.768
5 Rh 0.000 0.500 0.343
6 Rh 0.000 0.500 0.657
7 Rh 0.500 0.000 0.343
8 Rh 0.500 0.000 0.657
9 Rh 0.500 0.500 0.000

No. 2
This entry pairs a crystal structure of NdCrRe with its computed PXRD pattern. Radiation: Cu Kα. Structure: the GGA-PBE geometry in Alexandria.

Most intense lines, 15 to 90 degrees two-theta, by angle:
h k l  d [Å]  Position (°2θ)  I (rel.)
1 1 0  3.796  23.43  477
0 0 2  2.649  33.84  324
0 4 1  2.498  35.96  582
1 3 1  2.445  36.77  1000
1 1 2  2.172  41.57  648
2 0 0  2.015  45.00  284

Structure:
Lattice parameters (Å, degrees): 4.029 11.329 5.298 90.00 90.00 90.00
Sites, in units of the cell vectors:
1 Nd 0.000 0.217 0.250
2 Nd 0.000 0.783 0.750
3 Nd 0.500 0.283 0.750
4 Nd 0.500 0.717 0.250
5 Cr 0.000 0.500 0.000
6 Cr 0.000 0.500 0.500
7 Cr 0.500 0.000 0.000
8 Cr 0.500 0.000 0.500
9 Re 0.000 0.051 0.750
10 Re 0.000 0.949 0.250
11 Re 0.500 0.449 0.250
12 Re 0.500 0.551 0.750